Diffraction record for BaZrSe3. The XRD peak list is calculated, not measured: it uses a structure optimized by DFT (PBE) and Cu Ka.

Cell and atoms:
```
data_BaZrSe3
_symmetry_space_group_name_H-M 'P 63/m m c'
_symmetry_Int_Tables_number 194
_symmetry_space_group_name_Hall '-P 6c 2c'
_cell_length_a 7.2626
_cell_length_b 7.2626
_cell_length_c 6.4491
_cell_angle_alpha 90.00
_cell_angle_beta 90.00
_cell_angle_gamma 120.00
loop_
_atom_site_label
_atom_site_type_symbol
_atom_site_fract_x
_atom_site_fract_y
_atom_site_fract_z
Ba1 Ba 0.3333 0.6667 0.2500
Zr1 Zr 0.0000 0.0000 0.0000
Se1 Se 0.1726 0.3451 0.7500
```

Most intense lines, 5 to 70 degrees two-theta, by angle:
2θ/deg	I_rel	h k l
14.08	12	1 0 0
24.51	20	1 1 0
27.66	18	0 0 2
31.17	17	1 0 2
31.65	100	2 0 1
40.05	39	2 0 2
50.25	28	2 2 0
51.49	25	2 0 3
58.32	13	2 2 2
60.62	15	4 0 1